Dy4Te3N2: theoretical powder diffraction line list (Cu Ka), based on a PBE-relaxed structure.
Neutral-atom scattering factors, no anomalous dispersion.

Most intense lines, 2θ = 15–90°, low angle first:
Position (°2θ), I (rel.)
25.50, 25
26.67, 25
27.05, 24
28.49, 31
29.80, 59
30.16, 32
30.41, 100
30.74, 43
32.44, 35
38.39, 37

Structure:
```
data_Dy4Te3N2
_chemical_formula_sum 'Dy16 Te12 N8'
_cell_length_a 7.2870
_cell_length_b 11.7438
_cell_length_c 13.0696
_cell_angle_alpha 90.00
_cell_angle_beta 122.37
_cell_angle_gamma 90.00
_space_group_name_H-M_alt 'P 1'
_space_group_IT_number 1
loop_
_space_group_symop_operation_xyz
'x,y,z'
loop_
_atom_site_label
_atom_site_type_symbol
_atom_site_fract_x
_atom_site_fract_y
_atom_site_fract_z
_atom_site_occupancy
Dy1 Dy 0.0602 0.1571 0.3882 1
Dy2 Dy 0.0602 0.3429 0.8882 1
Dy3 Dy 0.1369 0.1015 0.1673 1
Dy4 Dy 0.1369 0.3985 0.6673 1
Dy5 Dy 0.2239 0.6428 0.8630 1
Dy6 Dy 0.2239 0.8572 0.3630 1
Dy7 Dy 0.2952 0.0860 0.8152 1
Dy8 Dy 0.2952 0.4140 0.3152 1
Dy9 Dy 0.7048 0.5860 0.6848 1
Dy10 Dy 0.7048 0.9140 0.1848 1
Dy11 Dy 0.7761 0.1428 0.6370 1
Dy12 Dy 0.7761 0.3572 0.1370 1
Dy13 Dy 0.8631 0.6015 0.3327 1
Dy14 Dy 0.8631 0.8985 0.8327 1
Dy15 Dy 0.9398 0.6571 0.1118 1
Dy16 Dy 0.9398 0.8429 0.6118 1
Te1 Te 0.2198 0.6544 0.5988 1
Te2 Te 0.2198 0.8456 0.0988 1
Te3 Te 0.3574 0.5152 0.1049 1
Te4 Te 0.3574 0.9848 0.6049 1
Te5 Te 0.4441 0.1621 0.0731 1
Te6 Te 0.4441 0.3379 0.5731 1
Te7 Te 0.5559 0.6621 0.4269 1
Te8 Te 0.5559 0.8379 0.9269 1
Te9 Te 0.6426 0.0152 0.3951 1
Te10 Te 0.6426 0.4848 0.8951 1
Te11 Te 0.7802 0.1544 0.9012 1
Te12 Te 0.7802 0.3456 0.4012 1
N1 N 0.0195 0.0088 0.2706 1
N2 N 0.0195 0.4912 0.7706 1
N3 N 0.0872 0.2421 0.7474 1
N4 N 0.0872 0.2579 0.2474 1
N5 N 0.9128 0.7421 0.7526 1
N6 N 0.9128 0.7579 0.2526 1
N7 N 0.9805 0.5088 0.2294 1
N8 N 0.9805 0.9912 0.7294 1
```

=====

Dy3Te3N: theoretical powder diffraction line list (Cu Ka), based on a PBE-relaxed structure.
Neutral-atom scattering factors, no anomalous dispersion.

Most intense lines, 2θ = 15–90°, low angle first:
Position (°2θ), I (rel.)
25.08, 33
27.15, 54
28.86, 100
29.65, 69
31.60, 40
31.83, 89
34.50, 39
34.71, 67
35.84, 51
37.38, 37

Structure:
```
data_Dy3Te3N
_chemical_formula_sum 'Dy12 Te12 N4'
_cell_length_a 8.1319
_cell_length_b 12.0097
_cell_length_c 8.6783
_cell_angle_alpha 90.00
_cell_angle_beta 109.03
_cell_angle_gamma 90.00
_space_group_name_H-M_alt 'P 1'
_space_group_IT_number 1
loop_
_space_group_symop_operation_xyz
'x,y,z'
loop_
_atom_site_label
_atom_site_type_symbol
_atom_site_fract_x
_atom_site_fract_y
_atom_site_fract_z
_atom_site_occupancy
Dy1 Dy 0.1027 0.0223 0.3626 1
Dy2 Dy 0.1027 0.4777 0.8626 1
Dy3 Dy 0.2668 0.7087 0.1573 1
Dy4 Dy 0.2668 0.7913 0.6573 1
Dy5 Dy 0.3392 0.0888 0.7950 1
Dy6 Dy 0.3392 0.4112 0.2950 1
Dy7 Dy 0.6607 0.5888 0.7050 1
Dy8 Dy 0.6607 0.9112 0.2050 1
Dy9 Dy 0.7332 0.2087 0.3427 1
Dy10 Dy 0.7332 0.2913 0.8427 1
Dy11 Dy 0.8973 0.5223 0.1374 1
Dy12 Dy 0.8973 0.9777 0.6374 1
Te1 Te 0.0082 0.2345 0.6848 1
Te2 Te 0.0082 0.2655 0.1848 1
Te3 Te 0.2761 0.5212 0.5848 1
Te4 Te 0.2761 0.9788 0.0848 1
Te5 Te 0.4547 0.1896 0.5152 1
Te6 Te 0.4547 0.3104 0.0152 1
Te7 Te 0.5453 0.6896 0.9848 1
Te8 Te 0.5453 0.8104 0.4848 1
Te9 Te 0.7239 0.0212 0.9152 1
Te10 Te 0.7239 0.4788 0.4152 1
Te11 Te 0.9918 0.7345 0.8152 1
Te12 Te 0.9918 0.7655 0.3152 1
N1 N 0.1725 0.5343 0.1235 1
N2 N 0.1725 0.9657 0.6235 1
N3 N 0.8275 0.0343 0.3765 1
N4 N 0.8275 0.4657 0.8765 1
```

=====

Na3DyTi2Nb2O12: theoretical powder diffraction line list (Cu Ka), based on a PBE-relaxed structure.
Neutral-atom scattering factors, no anomalous dispersion.

Most intense lines, 2θ = 15–90°, low angle first:
Position (°2θ), I (rel.)
17.19, 28
23.38, 45
25.45, 22
31.77, 23
32.49, 100
32.73, 24
46.26, 31
46.97, 18
58.27, 24
68.05, 15

Structure:
```
data_Na3DyTi2Nb2O12
_chemical_formula_sum 'Na6 Dy2 Ti4 Nb4 O24'
_cell_length_a 15.4761
_cell_length_b 5.4723
_cell_length_c 5.6328
_cell_angle_alpha 90.00
_cell_angle_beta 90.00
_cell_angle_gamma 90.00
_space_group_name_H-M_alt 'P 1'
_space_group_IT_number 1
loop_
_space_group_symop_operation_xyz
'x,y,z'
loop_
_atom_site_label
_atom_site_type_symbol
_atom_site_fract_x
_atom_site_fract_y
_atom_site_fract_z
_atom_site_occupancy
Na1 Na 0.0000 0.2421 0.0000 1
Na2 Na 0.0000 0.7579 0.5000 1
Na3 Na 0.2517 0.2541 0.9542 1
Na4 Na 0.2517 0.7459 0.4542 1
Na5 Na 0.7483 0.2541 0.9542 1
Na6 Na 0.7483 0.7459 0.4542 1
Dy1 Dy 0.5000 0.2355 0.0552 1
Dy2 Dy 0.5000 0.7645 0.5552 1
Ti1 Ti 0.3735 0.2652 0.5169 1
Ti2 Ti 0.3735 0.7348 0.0169 1
Ti3 Ti 0.6265 0.2652 0.5169 1
Ti4 Ti 0.6265 0.7348 0.0169 1
Nb1 Nb 0.1274 0.2475 0.4683 1
Nb2 Nb 0.1274 0.7525 0.9683 1
Nb3 Nb 0.8726 0.2475 0.4683 1
Nb4 Nb 0.8726 0.7525 0.9683 1
O1 O 0.0000 0.3282 0.4775 1
O2 O 0.0000 0.6718 0.9775 1
O3 O 0.1069 0.0353 0.7727 1
O4 O 0.1069 0.9647 0.2727 1
O5 O 0.1472 0.4671 0.2082 1
O6 O 0.1472 0.5329 0.7082 1
O7 O 0.2545 0.1774 0.5078 1
O8 O 0.2545 0.8226 0.0078 1
O9 O 0.3637 0.4466 0.1812 1
O10 O 0.3637 0.5534 0.6812 1
O11 O 0.4074 0.0489 0.7687 1
O12 O 0.4074 0.9511 0.2687 1
O13 O 0.5000 0.3484 0.4522 1
O14 O 0.5000 0.6516 0.9522 1
O15 O 0.5926 0.0489 0.7687 1
O16 O 0.5926 0.9511 0.2687 1
O17 O 0.6363 0.4466 0.1812 1
O18 O 0.6363 0.5534 0.6812 1
O19 O 0.7455 0.1774 0.5078 1
O20 O 0.7455 0.8226 0.0078 1
O21 O 0.8528 0.4671 0.2082 1
O22 O 0.8528 0.5329 0.7082 1
O23 O 0.8931 0.0353 0.7727 1
O24 O 0.8931 0.9647 0.2727 1
```

=====

Na3DyTi2Nb2O12: theoretical powder diffraction line list (Cu Ka), based on a PBE-relaxed structure.
Neutral-atom scattering factors, no anomalous dispersion.

Most intense lines, 2θ = 15–90°, low angle first:
Position (°2θ), I (rel.)
19.58, 49
19.93, 48
32.03, 52
32.44, 100
32.67, 100
32.92, 47
46.25, 33
46.81, 35
46.93, 31
58.35, 35

Structure:
```
data_Na3DyTi2Nb2O12
_chemical_formula_sum 'Na3 Dy1 Ti2 Nb2 O12'
_cell_length_a 5.4419
_cell_length_b 5.5896
_cell_length_c 7.7631
_cell_angle_alpha 89.87
_cell_angle_beta 89.96
_cell_angle_gamma 89.21
_space_group_name_H-M_alt 'P 1'
_space_group_IT_number 1
loop_
_space_group_symop_operation_xyz
'x,y,z'
loop_
_atom_site_label
_atom_site_type_symbol
_atom_site_fract_x
_atom_site_fract_y
_atom_site_fract_z
_atom_site_occupancy
Na1 Na 0.0000 0.0000 0.0000 1
Na2 Na 0.0184 0.9349 0.5014 1
Na3 Na 0.5134 0.4915 0.0011 1
Dy1 Dy 0.5002 0.4074 0.5015 1
Ti1 Ti 0.5135 0.9472 0.7443 1
Ti2 Ti 0.9985 0.4532 0.2586 1
Nb1 Nb 0.0035 0.4631 0.7632 1
Nb2 Nb 0.5128 0.9485 0.2398 1
O1 O 0.0796 0.4553 0.0046 1
O2 O 0.2297 0.2061 0.3040 1
O3 O 0.2338 0.2031 0.6992 1
O4 O 0.3122 0.6796 0.3056 1
O5 O 0.3144 0.6821 0.6980 1
O6 O 0.4282 0.9593 0.9985 1
O7 O 0.5873 0.0019 0.5046 1
O8 O 0.7130 0.2723 0.7775 1
O9 O 0.7153 0.2739 0.2266 1
O10 O 0.8008 0.7721 0.7889 1
O11 O 0.8078 0.7676 0.2114 1
O12 O 0.9113 0.4991 0.4977 1
```

=====

NaDy3Ti2Sb2O14: theoretical powder diffraction line list (Cu Ka), based on a PBE-relaxed structure.
Neutral-atom scattering factors, no anomalous dispersion.

Most intense lines, 2θ = 15–90°, low angle first:
Position (°2θ), I (rel.)
19.22, 26
29.87, 35
30.04, 100
34.77, 41
49.89, 32
50.10, 31
59.24, 14
59.43, 27
59.53, 14
83.69, 9

Structure:
```
data_NaDy3Ti2Sb2O14
_chemical_formula_sum 'Na2 Dy6 Ti4 Sb4 O28'
_cell_length_a 7.3074
_cell_length_b 7.2905
_cell_length_c 12.6003
_cell_angle_alpha 90.00
_cell_angle_beta 125.05
_cell_angle_gamma 90.00
_space_group_name_H-M_alt 'P 1'
_space_group_IT_number 1
loop_
_space_group_symop_operation_xyz
'x,y,z'
loop_
_atom_site_label
_atom_site_type_symbol
_atom_site_fract_x
_atom_site_fract_y
_atom_site_fract_z
_atom_site_occupancy
Na1 Na 0.0000 0.0000 0.0000 1
Na2 Na 0.0000 0.0000 0.5000 1
Dy1 Dy 0.0000 0.2458 0.2500 1
Dy2 Dy 0.0000 0.5000 0.0000 1
Dy3 Dy 0.0000 0.5000 0.5000 1
Dy4 Dy 0.0000 0.7542 0.7500 1
Dy5 Dy 0.5000 0.2267 0.2500 1
Dy6 Dy 0.5000 0.7733 0.7500 1
Ti1 Ti 0.5000 0.2630 0.7500 1
Ti2 Ti 0.5000 0.5000 0.0000 1
Ti3 Ti 0.5000 0.5000 0.5000 1
Ti4 Ti 0.5000 0.7370 0.2500 1
Sb1 Sb 0.0000 0.2546 0.7500 1
Sb2 Sb 0.0000 0.7454 0.2500 1
Sb3 Sb 0.5000 0.0000 0.0000 1
Sb4 Sb 0.5000 0.0000 0.5000 1
O1 O 0.1348 0.2636 0.1327 1
O2 O 0.1348 0.7364 0.6327 1
O3 O 0.1689 0.0427 0.8706 1
O4 O 0.1689 0.9573 0.3706 1
O5 O 0.1744 0.4568 0.8773 1
O6 O 0.1744 0.5432 0.3773 1
O7 O 0.1764 0.2698 0.6759 1
O8 O 0.1764 0.7302 0.1759 1
O9 O 0.4220 0.2506 0.4211 1
O10 O 0.4220 0.7494 0.9211 1
O11 O 0.4241 0.4465 0.6212 1
O12 O 0.4241 0.5535 0.1212 1
O13 O 0.4432 0.0484 0.6332 1
O14 O 0.4432 0.9516 0.1332 1
O15 O 0.5568 0.0484 0.8668 1
O16 O 0.5568 0.9516 0.3668 1
O17 O 0.5759 0.4465 0.8788 1
O18 O 0.5759 0.5535 0.3788 1
O19 O 0.5780 0.2506 0.0789 1
O20 O 0.5780 0.7494 0.5789 1
O21 O 0.8236 0.2698 0.8241 1
O22 O 0.8236 0.7302 0.3241 1
O23 O 0.8256 0.4568 0.6227 1
O24 O 0.8256 0.5432 0.1227 1
O25 O 0.8311 0.0427 0.6294 1
O26 O 0.8311 0.9573 0.1294 1
O27 O 0.8652 0.2636 0.3673 1
O28 O 0.8652 0.7364 0.8673 1
```

=====

NaDy3Ti2Sb2O14: theoretical powder diffraction line list (Cu Ka), based on a PBE-relaxed structure.
Neutral-atom scattering factors, no anomalous dispersion.

Most intense lines, 2θ = 15–90°, low angle first:
Position (°2θ), I (rel.)
17.21, 32
29.84, 100
30.12, 48
30.40, 48
34.84, 59
49.56, 16
49.91, 31
50.28, 31
50.64, 15
59.39, 21

Structure:
```
data_NaDy3Ti2Sb2O14
_chemical_formula_sum 'Na1 Dy3 Ti2 Sb2 O14'
_cell_length_a 7.2605
_cell_length_b 7.2605
_cell_length_c 7.2103
_cell_angle_alpha 119.32
_cell_angle_beta 119.32
_cell_angle_gamma 60.88
_space_group_name_H-M_alt 'P 1'
_space_group_IT_number 1
loop_
_space_group_symop_operation_xyz
'x,y,z'
loop_
_atom_site_label
_atom_site_type_symbol
_atom_site_fract_x
_atom_site_fract_y
_atom_site_fract_z
_atom_site_occupancy
Na1 Na 0.0000 0.0000 0.0000 1
Dy1 Dy 0.0000 0.0000 0.5000 1
Dy2 Dy 0.0000 0.5000 0.0000 1
Dy3 Dy 0.5000 0.0000 0.0000 1
Ti1 Ti 0.5000 0.5000 0.0000 1
Ti2 Ti 0.5000 0.5000 0.5000 1
Sb1 Sb 0.0000 0.5000 0.5000 1
Sb2 Sb 0.5000 0.0000 0.5000 1
O1 O 0.1332 0.1332 0.8693 1
O2 O 0.1694 0.1694 0.4271 1
O3 O 0.1740 0.5787 0.4209 1
O4 O 0.1765 0.5634 0.8247 1
O5 O 0.4213 0.8260 0.5791 1
O6 O 0.4279 0.4279 0.1802 1
O7 O 0.4366 0.8235 0.1753 1
O8 O 0.5634 0.1765 0.8247 1
O9 O 0.5721 0.5721 0.8198 1
O10 O 0.5787 0.1740 0.4209 1
O11 O 0.8235 0.4366 0.1753 1
O12 O 0.8260 0.4213 0.5791 1
O13 O 0.8306 0.8306 0.5729 1
O14 O 0.8668 0.8668 0.1307 1
```